For HoSi, a crystal structure in Alexandria, relaxed with GGA-PBE gives the calculated powder XRD pattern in this record (Cu Kα X-rays).

Main lines, by angle (10° ≤ 2θ ≤ 80°):
| Position (°2θ) | I/Imax |
| --- | --- |
| 22.54 | 39 |
| 28.91 | 65 |
| 32.63 | 100 |
| 33.16 | 53 |
| 34.20 | 30 |
| 40.91 | 31 |

Structural model:
Cell lengths 5.6587, 5.6587, 3.8210 Å; angles 90.00, 90.00, 135.82 degrees
Atoms (fractional coordinates):
1 Ho 0.1402 0.8598 0.7500
2 Ho 0.8598 0.1402 0.2500
3 Si 0.4233 0.5767 0.7500
4 Si 0.5767 0.4233 0.2500